Starting from a crystal structure in Alexandria, relaxed with PBE, the powder X-ray diffraction pattern of Er2HfS5 was computed for Cu Ka.

The 10 most intense peaks (2θ = 10–80°), by intensity:
2θ/deg  Rel. int.  index
18.5  100  1 1 0
25.1  96  0 2 3
34.8  95  2 0 0
28.1  68  1 1 3
13.6  64  0 2 0
26.9  53  1 3 0
43.4  45  2 2 3
44.5  36  1 5 3
50.0  31  2 4 3
30.9  20  0 4 2

Crystal structure
```
data_Er2HfS5
_cell_length_a 5.1627
_cell_length_b 12.9920
_cell_length_c 12.6718
_cell_angle_alpha 90.00
_cell_angle_beta 90.00
_cell_angle_gamma 90.00
_symmetry_space_group_name_H-M 'C m c m'
_symmetry_Int_Tables_number 63
_symmetry_space_group_name_Hall '-C 2c 2'
loop_
_atom_site_label
_atom_site_type_symbol
_atom_site_fract_x
_atom_site_fract_y
_atom_site_fract_z
Er1 Er 0.0000 0.1456 0.0605
Hf1 Hf 0.0000 0.1914 0.7500
S1 S 0.0000 0.0484 0.6228
S2 S 0.0000 0.2622 0.2500
S3 S 0.0000 0.3093 0.5829
```